Computed powder X-ray diffraction pattern of Pb2Au3 for Cu Ka, from a structure optimized by DFT (PBE).

Largest 10 diffraction maxima, low angle first, 2θ from 10° to 90°:
2θ (°)	intensity
21.55	25
27.93	18
33.19	100
35.55	80
41.95	54
45.80	16
51.16	43
63.84	14
68.23	32
73.88	28

Cell and atoms:
```
data_Pb2Au3
_chemical_formula_sum 'Pb8 Au12'
_symmetry_space_group_name_H-M 'P 1'
_symmetry_Int_Tables_number 1
_cell_length_a 8.7477
_cell_length_b 8.7477
_cell_length_c 8.7477
_cell_angle_alpha 109.47
_cell_angle_beta 109.47
_cell_angle_gamma 109.47
loop_
_symmetry_equiv_pos_as_xyz
'x,y,z'
loop_
_atom_site_label
_atom_site_type_symbol
_atom_site_fract_x
_atom_site_fract_y
_atom_site_fract_z
_atom_site_occupancy
Pb1 Pb 0.0000 0.0778 0.5000 1
Pb2 Pb 0.0000 0.5778 0.5000 1
Pb3 Pb 0.0778 0.5000 0.0000 1
Pb4 Pb 0.4222 0.4222 0.4222 1
Pb5 Pb 0.5000 0.0000 0.0778 1
Pb6 Pb 0.5000 0.0000 0.5778 1
Pb7 Pb 0.5778 0.5000 0.0000 1
Pb8 Pb 0.9222 0.9222 0.9222 1
Au1 Au 0.0114 0.2500 0.2614 1
Au2 Au 0.2386 0.4886 0.7500 1
Au3 Au 0.2500 0.2614 0.0114 1
Au4 Au 0.2500 0.9886 0.7386 1
Au5 Au 0.2614 0.0114 0.2500 1
Au6 Au 0.4886 0.7500 0.2386 1
Au7 Au 0.5114 0.7614 0.7500 1
Au8 Au 0.7386 0.2500 0.9886 1
Au9 Au 0.7500 0.2386 0.4886 1
Au10 Au 0.7500 0.5114 0.7614 1
Au11 Au 0.7614 0.7500 0.5114 1
Au12 Au 0.9886 0.7386 0.2500 1
```